No. 1
Computed powder diffractogram of Tl9SnTe6 for λ = 1.5418 Å (Cu Kα), from a crystal structure in Alexandria, relaxed with PBE.

Atomic structure:
```
data_Tl9SnTe6
_chemical_formula_sum 'Tl18 Sn2 Te12'
_cell_length_a 8.959
_cell_length_b 8.959
_cell_length_c 13.281
_cell_angle_alpha 90.00
_cell_angle_beta 90.00
_cell_angle_gamma 90.00
_space_group_name_H-M_alt 'I 4/m'
_space_group_IT_number 87
_space_group_name_Hall '-I 4'
loop_
_atom_site_label
_atom_site_type_symbol
_atom_site_fract_x
_atom_site_fract_y
_atom_site_fract_z
_atom_site_occupancy
Tl1 Tl 0.000 0.000 0.000 1
Tl2 Tl 0.147 0.649 0.157 1
Sn1 Sn 0.000 0.000 0.500 1
Te1 Te 0.000 0.000 0.261 1
Te2 Te 0.150 0.671 0.500 1
```

The 10 most intense peaks (2θ from 10° to 90°), by angle:
index  Position (°2θ)  d (Å)  Rel. int.
1 2 3  30.08  2.971  100
1 1 4  30.40  2.941  13
3 1 0  31.58  2.833  52
0 0 6  40.77  2.213  10
2 4 0  45.27  2.003  8
4 1 3  46.56  1.951  12
3 1 6  52.46  1.744  12
2 5 3  59.34  1.557  22
3 3 6  60.61  1.528  8
2 1 9  67.66  1.385  8


No. 2
Computed powder diffractogram of Pm4Ga16Ni3 for λ = 1.5418 Å (Cu Kα), from a crystal structure in Alexandria, relaxed with PBE.

Atomic structure:
```
data_Pm4Ga16Ni3
_chemical_formula_sum 'Pm4 Ga16 Ni3'
_cell_length_a 6.156
_cell_length_b 6.156
_cell_length_c 11.196
_cell_angle_alpha 90.00
_cell_angle_beta 90.00
_cell_angle_gamma 90.00
_space_group_name_H-M_alt 'P 4/m m m'
_space_group_IT_number 123
_space_group_name_Hall '-P 4 2'
loop_
_atom_site_label
_atom_site_type_symbol
_atom_site_fract_x
_atom_site_fract_y
_atom_site_fract_z
_atom_site_occupancy
Pm1 Pm 0.000 0.500 0.194 1
Ga1 Ga 0.000 0.000 0.198 1
Ga2 Ga 0.217 0.217 0.000 1
Ga3 Ga 0.246 0.246 0.384 1
Ga4 Ga 0.500 0.500 0.226 1
Ni1 Ni 0.000 0.500 0.500 1
Ni2 Ni 0.500 0.500 0.000 1
```

The 10 most intense peaks (2θ from 10° to 90°), by angle:
index  Position (°2θ)  d (Å)  Rel. int.
1 1 0  20.40  4.353  15
1 1 3  31.58  2.833  25
2 0 2  33.22  2.697  54
2 0 3  37.89  2.375  100
0 0 5  40.28  2.239  27
2 2 0  41.49  2.176  75
2 0 4  43.71  2.071  20
2 2 5  59.20  1.561  32
4 0 0  60.12  1.539  23
4 2 3  73.30  1.291  24